1.
Starting from the GGA-PBE geometry in Alexandria, the XRD peak list of K3Ni2Br7 was calculated for Cu Ka.
Intensities are scaled so that the largest is 100.

Most intense lines, 2θ = 5–70°, sorted by position:
- (0 0 2), 2θ 6.73, rel. 44.8
- (1 0 1), 2θ 17.68, rel. 47.5
- (1 1 6), 2θ 32.11, rel. 85.3
- (0 0 10), 2θ 34.13, rel. 41.8
- (2 0 0), 2θ 35.11, rel. 100.0
- (2 0 10), 2θ 49.77, rel. 55.1

Cell and atoms:
a = 5.1119 Å, b = 5.1119 Å, c = 26.2700 Å
α = 90.00°, β = 90.00°, γ = 90.00°
Space group I4/mmm (No. 139)
One atom of each set of equivalent atoms:
K  0.0000  0.0000  0.0000
K  0.0000  0.0000  0.1795
Ni  0.0000  0.0000  0.4023
Br  0.0000  0.0000  0.3077
Br  0.0000  0.0000  0.5000
Br  0.0000  0.5000  0.0942


2.
Starting from the GGA-PBE geometry in Alexandria, the XRD peak list of K3Ni2Br8 was calculated for Cu Ka.
Intensities are scaled so that the largest is 100.

Most intense lines, 2θ = 5–70°, sorted by position:
- (1 0 4), 2θ 18.70, rel. 42.1
- (1 1 3), 2θ 25.74, rel. 41.9
- (2 0 2), 2θ 28.38, rel. 100.0
- (0 0 9), 2θ 28.69, rel. 42.0
- (2 0 11), 2θ 45.36, rel. 61.1
- (2 2 0), 2θ 48.88, rel. 57.8

Cell and atoms:
a = 7.4529 Å, b = 7.4529 Å, c = 28.0019 Å
α = 90.00°, β = 90.00°, γ = 120.00°
Space group R-3m (No. 166, hexagonal axes)
One atom of each set of equivalent atoms:
K  0.0000  0.0000  0.0000
K  0.0000  0.0000  0.2084
Ni  0.0000  0.0000  0.4089
Br  0.0000  0.0000  0.3256
Br  0.0115  0.5057  0.7688


3.
Starting from the GGA-PBE geometry in Alexandria, the XRD peak list of K4NiBr5 was calculated for Cu Ka.
Intensities are scaled so that the largest is 100.

Most intense lines, 2θ = 5–70°, sorted by position:
- (2 1 1), 2θ 23.88, rel. 25.4
- (0 0 2), 2θ 26.73, rel. 58.0
- (1 3 0), 2θ 28.10, rel. 100.0
- (1 3 2), 2θ 39.17, rel. 70.5
- (4 2 0), 2θ 40.15, rel. 33.0
- (4 2 2), 2θ 48.89, rel. 29.3

Cell and atoms:
a = 10.0435 Å, b = 10.0435 Å, c = 6.6700 Å
α = 90.00°, β = 90.00°, γ = 90.00°
Space group I4 (No. 79)
One atom of each set of equivalent atoms:
K  0.0927  0.2969  0.0000
Ni  0.0000  0.0000  0.4431
Br  0.0000  0.0000  0.0676
Br  0.0830  0.2589  0.5037


4.
Starting from the GGA-PBE geometry in Alexandria, the XRD peak list of K2NiPbBr6 was calculated for Cu Ka.
Intensities are scaled so that the largest is 100.

Most intense lines, 2θ = 5–70°, sorted by position:
- (1 0 1), 2θ 13.57, rel. 51.4
- (0 1 2), 2θ 14.06, rel. 71.9
- (0 1 5), 2θ 17.08, rel. 54.9
- (0 2 7), 2θ 30.91, rel. 100.0
- (1 1 12), 2θ 34.80, rel. 46.9
- (2 0 11), 2θ 35.98, rel. 55.5

Cell and atoms:
a = 7.6265 Å, b = 7.6265 Å, c = 41.9779 Å
α = 90.00°, β = 90.00°, γ = 120.00°
Space group R-3m (No. 166, hexagonal axes)
One atom of each set of equivalent atoms:
K  0.0000  0.0000  0.1380
K  0.0000  0.0000  0.3093
Ni  0.0000  0.0000  0.0000
Ni  0.0000  0.0000  0.5000
Pb  0.0000  0.0000  0.4146
Br  0.0111  0.5056  0.1312
Br  0.0190  0.5095  0.7024